This entry pairs a crystal structure of CeCd2Pd2 with its theoretical powder diffractogram. Radiation: λ = 1.5418 Å (Cu Kα). Structure: a crystal structure in Alexandria, relaxed with GGA-PBE.

Crystal structure
```
10
Lattice="5.453 0.000 0.000 0.000 4.655 0.000 -2.710 0.000 8.685" Properties=species:S:1:pos:R:3 pbc="T T T"
Ce 0.199 1.164 2.327
Ce 2.544 3.491 6.358
Cd -0.463 1.164 5.543
Cd 1.979 3.491 0.397
Cd 0.764 1.164 8.288
Cd 3.205 3.491 3.143
Pd -1.992 1.164 7.974
Pd 0.494 3.491 4.138
Pd 2.248 1.164 4.547
Pd 4.734 3.491 0.711
```

Principal peaks in the range 2θ from 10° to 90°, sorted by position:
d (Å), Position (°2θ), I (rel.), hkl
3.469, 25.68, 22, 1 1 0
3.019, 29.59, 38, 1 1 -2
2.931, 30.50, 18, 1 0 2
2.480, 36.22, 76, 1 1 2
2.458, 36.55, 87, 0 1 3
2.327, 38.69, 68, 0 2 0
2.308, 39.03, 38, 2 0 -3
2.271, 39.69, 100, 2 1 0
1.639, 56.13, 26, 2 2 -3
1.271, 74.68, 19, 1 2 5